(1)
TiAl7V5: calculated X-ray powder pattern (a wavelength of 1.5418 Å), based on the PBE geometry in Alexandria.
Kinematic intensities with the Lorentz-polarization factor, no thermal factor.

Crystal structure
Cell lengths 5.2590, 8.6523, 8.9486 Å; angles 90.00, 90.00, 90.00 degrees
Space group Imm2 (No. 44)
Symmetry-distinct sites (fractional):
Ti (0.0000, 0.0000, 0.0000)
Al (0.0000, 0.0000, 0.3339)
Al (0.0000, 0.0000, 0.6818)
Al (0.0000, 0.3015, 0.5280)
Al (0.0000, 0.3290, 0.0278)
Al (0.0000, 0.5000, 0.7615)
V (0.0000, 0.5000, 0.2869)
V (0.2478, 0.2376, 0.7804)

Principal peaks in the range 10 to 90 degrees two-theta, in order of rising 2θ:
- 2θ = 19.84°, I = 538, (0 0 2)
- 2θ = 39.76°, I = 403, (2 0 2)
- 2θ = 40.13°, I = 595, (2 2 0)
- 2θ = 40.31°, I = 516, (0 0 4)
- 2θ = 41.00°, I = 437, (1 3 2)
- 2θ = 45.15°, I = 1000, (2 2 2)


(2)
Pr4BiPd2: calculated X-ray powder pattern (a wavelength of 1.5418 Å), based on the PBE geometry in Alexandria.
Kinematic intensities with the Lorentz-polarization factor, no thermal factor.

Crystal structure
Cell lengths 9.4578, 13.9384, 13.9804 Å; angles 90.00, 90.00, 90.00 degrees
Space group Fddd (No. 70, origin choice 2)
Symmetry-distinct sites (fractional):
Pr (0.0402, 0.2836, 0.4653)
Bi (0.1250, 0.1250, 0.6250)
Pd (0.0000, 0.0000, 0.0000)

Principal peaks in the range 10 to 90 degrees two-theta, in order of rising 2θ:
- 2θ = 17.97°, I = 497, (0 2 2)
- 2θ = 28.73°, I = 484, (1 3 3)
- 2θ = 29.75°, I = 921, (3 1 1)
- 2θ = 34.09°, I = 1000, (1 1 5)
- 2θ = 36.41°, I = 417, (0 4 4)
- 2θ = 46.39°, I = 366, (4 4 0)